For TaO2, a cell relaxed with GGA-PBE gives the computed X-ray powder pattern in this record (Cu Kα (λ = 1.5418 Å)).
No peak broadening, texture or thermal motion is included.

Peak list (10 most intense, 10 to 90 degrees two-theta, low angle first)
2θ/deg	Rel. int.
11.30	100
22.70	75
25.42	95
35.08	76
36.27	27
38.77	45
41.56	34
51.35	38
59.44	17
61.99	15

abc: 11.472 11.472 11.472
angles: 93.89 93.89 149.81
Fractional coordinates of all 48 atoms:
Ta  0.007  0.047  0.293
Ta  0.057  0.242  0.077
Ta  0.214  0.507  0.460
Ta  0.254  0.714  0.207
Ta  0.258  0.834  0.814
Ta  0.334  0.020  0.577
Ta  0.453  0.246  0.960
Ta  0.480  0.557  0.314
Ta  0.520  0.443  0.686
Ta  0.547  0.754  0.040
Ta  0.666  0.980  0.423
Ta  0.742  0.166  0.186
Ta  0.746  0.286  0.793
Ta  0.786  0.493  0.540
Ta  0.943  0.758  0.923
Ta  0.993  0.953  0.707
O  0.015  0.716  0.450
O  0.032  0.388  0.107
O  0.065  0.515  0.799
O  0.112  0.719  0.644
O  0.127  0.060  0.883
O  0.216  0.266  0.701
O  0.219  0.075  0.607
O  0.234  0.435  0.950
O  0.243  0.042  0.059
O  0.256  0.373  0.433
O  0.315  0.257  0.298
O  0.323  0.756  0.383
O  0.425  0.532  0.144
O  0.440  0.823  0.067
O  0.458  0.017  0.202
O  0.483  0.185  0.441
O  0.517  0.815  0.559
O  0.542  0.983  0.798
O  0.560  0.177  0.933
O  0.575  0.468  0.856
O  0.677  0.244  0.617
O  0.685  0.743  0.702
O  0.744  0.627  0.567
O  0.757  0.958  0.941
O  0.766  0.565  0.050
O  0.781  0.925  0.393
O  0.784  0.734  0.299
O  0.873  0.940  0.117
O  0.888  0.281  0.356
O  0.935  0.485  0.201
O  0.968  0.612  0.893
O  0.985  0.284  0.550



For Mg15V, a cell relaxed with GGA-PBE gives the computed X-ray powder pattern in this record (Cu Kα (λ = 1.5418 Å)).
No peak broadening, texture or thermal motion is included.

Peak list (10 most intense, 10 to 90 degrees two-theta, low angle first)
2θ/deg	Rel. int.
18.32	3
32.50	24
35.34	25
37.13	100
48.77	15
57.98	17
64.61	18
69.76	19
70.88	13
79.09	3

abc: 6.362 6.362 10.158
angles: 90.00 90.00 120.00
Fractional coordinates of all 16 atoms:
Mg  0.000  0.000  0.000
Mg  0.000  0.500  0.000
Mg  0.001  0.501  0.500
Mg  0.164  0.328  0.254
Mg  0.164  0.328  0.746
Mg  0.164  0.836  0.254
Mg  0.164  0.836  0.746
Mg  0.499  0.501  0.500
Mg  0.499  0.999  0.500
Mg  0.500  0.000  0.000
Mg  0.500  0.500  0.000
Mg  0.667  0.333  0.249
Mg  0.667  0.333  0.751
Mg  0.672  0.836  0.254
Mg  0.672  0.836  0.746
V  0.000  0.000  0.500